# 1
Diffraction record for LiSi4NiO10. The XRD peak list is theoretical, not measured: it uses a DFT-relaxed cell (PBE+U, the Materials Project) and CuKα.

Cell and atoms:
a b c (Å): 7.815 5.179 11.904
angles (deg): 90.00 112.82 90.00
Space group P2/c (No. 13)
Inequivalent atoms, fractional coordinates:
Li: 0.000 0.241 0.250
Si: 0.293 0.024 0.500
Si: 0.294 0.479 0.149
Ni: 0.000 0.258 0.750
O: 0.137 0.020 0.864
O: 0.141 0.497 0.709
O: 0.256 0.316 0.537
O: 0.276 0.183 0.099
O: 0.500 0.000 0.000
O: 0.500 0.466 0.750

Peak list (10 most intense, 2θ = 10–90°, in order of rising 2θ)
| Position (°2θ) | Rel. int. |
| --- | --- |
| 12.29 | 11 |
| 18.95 | 13 |
| 20.84 | 13 |
| 23.60 | 100 |
| 23.72 | 61 |
| 23.90 | 58 |
| 24.32 | 14 |
| 28.49 | 19 |
| 43.00 | 13 |
| 46.49 | 17 |

***

# 2
Diffraction record for MgV3CoSn2P6O24. The XRD peak list is theoretical, not measured: it uses a DFT-relaxed cell (PBE+U, the Materials Project) and CuKα.

Cell and atoms:
a b c (Å): 8.517 8.588 9.193
angles (deg): 90.62 117.43 119.38
Space group P1 (No. 1)
Inequivalent atoms, fractional coordinates:
Mg: 0.000 0.000 0.000
V: 0.279 0.744 0.393
V: 0.878 0.067 0.285
V: 0.897 0.568 0.798
Co: 0.296 0.282 0.892
Sn: 0.467 0.923 0.815
Sn: 0.605 0.427 0.392
P: 0.077 0.449 0.584
P: 0.086 0.374 0.093
P: 0.364 0.938 0.094
P: 0.365 0.157 0.582
P: 0.787 0.872 0.592
P: 0.809 0.670 0.095
O: 0.007 0.700 0.263
O: 0.178 0.137 0.420
O: 0.198 0.508 0.273
O: 0.204 0.649 0.566
O: 0.212 0.783 0.912
O: 0.234 0.434 0.740
O: 0.251 0.373 0.067
O: 0.302 0.081 0.083
O: 0.350 0.138 0.744
O: 0.356 0.855 0.238
O: 0.396 0.999 0.545
O: 0.560 0.807 0.551
O: 0.566 0.352 0.621
O: 0.588 0.028 0.123
O: 0.619 0.477 0.047
O: 0.791 0.837 0.123
O: 0.799 0.695 0.613
O: 0.812 0.923 0.445
O: 0.871 0.711 0.954
O: 0.905 0.449 0.609
O: 0.940 0.414 0.945
O: 0.941 0.169 0.092
O: 0.950 0.300 0.413
O: 0.953 0.027 0.769

Peak list (10 most intense, 2θ = 10–90°, in order of rising 2θ)
| Position (°2θ) | Rel. int. |
| --- | --- |
| 14.07 | 25 |
| 20.58 | 62 |
| 20.69 | 62 |
| 20.86 | 40 |
| 23.61 | 60 |
| 23.76 | 82 |
| 30.99 | 100 |
| 31.09 | 74 |
| 31.25 | 31 |
| 36.00 | 27 |

***

# 3
Diffraction record for Li7Co5O12. The XRD peak list is theoretical, not measured: it uses a DFT-relaxed cell (PBE+U, the Materials Project) and CuKα.

Cell and atoms:
a b c (Å): 2.879 7.654 9.782
angles (deg): 100.47 90.39 100.35
Space group P-1 (No. 2)
Inequivalent atoms, fractional coordinates:
Li: 0.000 0.000 0.000
Li: 0.079 0.164 0.752
Li: 0.249 0.500 0.251
Li: 0.421 0.841 0.756
Co: 0.165 0.333 0.498
Co: 0.329 0.674 0.002
Co: 0.500 0.000 0.500
O: 0.040 0.080 0.383
O: 0.127 0.265 0.109
O: 0.216 0.420 0.896
O: 0.291 0.583 0.621
O: 0.381 0.760 0.388
O: 0.448 0.891 0.115

Peak list (10 most intense, 2θ = 10–90°, in order of rising 2θ)
| Position (°2θ) | Rel. int. |
| --- | --- |
| 11.96 | 8 |
| 18.46 | 100 |
| 36.31 | 14 |
| 36.43 | 13 |
| 36.64 | 13 |
| 43.74 | 28 |
| 44.17 | 27 |
| 44.29 | 27 |
| 48.40 | 8 |
| 64.73 | 14 |

***

# 4
Diffraction record for Cs2NaFeF6. The XRD peak list is theoretical, not measured: it uses a DFT-relaxed cell (PBE+U, the Materials Project) and CuKα.

Cell and atoms:
a b c (Å): 8.878 8.878 8.878
angles (deg): 90.00 90.00 90.00
Space group Fm-3m (No. 225)
Inequivalent atoms, fractional coordinates:
Cs: 0.250 0.250 0.250
Na: 0.000 0.000 0.000
Fe: 0.000 0.000 0.500
F: 0.000 0.000 0.277

Peak list (10 most intense, 2θ = 10–90°, in order of rising 2θ)
| Position (°2θ) | Rel. int. |
| --- | --- |
| 20.00 | 21 |
| 28.43 | 100 |
| 35.01 | 33 |
| 40.65 | 40 |
| 45.70 | 12 |
| 50.35 | 39 |
| 58.84 | 24 |
| 66.62 | 19 |
| 70.34 | 10 |
| 81.05 | 21 |